Entry 1:
# Sm2Pa2Se7
Calculated powder X-ray diffraction pattern, copper Kα. Input: DFT lattice parameters and positions (GGA-PBE).
Lines closer than 0.1° are merged.

Crystal structure
```
data_Sm2Pa2Se7
_symmetry_space_group_name_H-M 'I m m 2'
_symmetry_Int_Tables_number 44
_cell_length_a 4.0572
_cell_length_b 14.8985
_cell_length_c 9.1116
_cell_angle_alpha 90.00
_cell_angle_beta 90.00
_cell_angle_gamma 90.00
loop_
_symmetry_equiv_pos_as_xyz
'x,y,z'
'-x,-y,z'
'-x,y,z'
'x,-y,z'
'x+1/2,y+1/2,z+1/2'
'-x+1/2,-y+1/2,z+1/2'
'-x+1/2,y+1/2,z+1/2'
'x+1/2,-y+1/2,z+1/2'
loop_
_atom_site_label
_atom_site_type_symbol
_atom_site_fract_x
_atom_site_fract_y
_atom_site_fract_z
Sm1 Sm 0.0000 0.0000 0.0000
Sm2 Sm 0.0000 0.5000 0.0435
Pa1 Pa 0.0000 0.2606 0.8119
Se1 Se 0.0000 0.1439 0.4980
Se2 Se 0.0000 0.1841 0.1107
Se3 Se 0.0000 0.3867 0.3229
Se4 Se 0.0000 0.5000 0.7301
```

Peak list (10 most intense, 2θ = 10–80°, by angle)
2θ 22.9, d = 3.887 Å, rel. 50, (0 2 2)
2θ 24.0, d = 3.706 Å, rel. 26, (1 0 1)
2θ 26.9, d = 3.318 Å, rel. 26, (1 2 1)
2θ 30.1, d = 2.971 Å, rel. 23, (1 1 2)
2θ 34.1, d = 2.627 Å, rel. 100, (1 4 1)
2θ 34.7, d = 2.588 Å, rel. 31, (1 3 2)
2θ 39.0, d = 2.311 Å, rel. 60, (1 2 3)
2θ 41.4, d = 2.180 Å, rel. 39, (0 6 2)
2θ 44.7, d = 2.029 Å, rel. 26, (2 0 0)
2θ 62.5, d = 1.485 Å, rel. 23, (2 6 2)


Entry 2:
# SmPa2Se3
Calculated powder X-ray diffraction pattern, copper Kα. Input: DFT lattice parameters and positions (GGA-PBE).
Lines closer than 0.1° are merged.

Crystal structure
```
data_SmPa2Se3
_symmetry_space_group_name_H-M 'P 1 21/c 1'
_symmetry_Int_Tables_number 14
_cell_length_a 5.7900
_cell_length_b 12.4635
_cell_length_c 8.0832
_cell_angle_alpha 90.00
_cell_angle_beta 90.03
_cell_angle_gamma 90.00
loop_
_symmetry_equiv_pos_as_xyz
'x,y,z'
'-x,-y,-z'
'-x,y+1/2,-z+1/2'
'x,-y+1/2,z+1/2'
loop_
_atom_site_label
_atom_site_type_symbol
_atom_site_fract_x
_atom_site_fract_y
_atom_site_fract_z
Sm1 Sm 0.2498 0.0813 0.1283
Pa1 Pa 0.2497 0.0837 0.6218
Pa2 Pa 0.2507 0.7474 0.6245
Se1 Se 0.2493 0.2479 0.8748
Se2 Se 0.2502 0.5833 0.3712
Se3 Se 0.2504 0.5847 0.8775
```

Peak list (10 most intense, 2θ = 10–80°, by angle)
2θ 26.4, d = 3.375 Å, rel. 18, (1 3 0)
2θ 26.9, d = 3.314 Å, rel. 17, (1 0 2)
2θ 30.9, d = 2.896 Å, rel. 100, (2 0 0)
2θ 43.6, d = 2.077 Å, rel. 13, (0 6 0)
2θ 44.2, d = 2.048 Å, rel. 50, (2 3 2)
2θ 44.9, d = 2.021 Å, rel. 12, (0 0 4)
2θ 54.4, d = 1.688 Å, rel. 14, (2 6 0)
2θ 55.5, d = 1.657 Å, rel. 13, (2 0 4)
2θ 64.3, d = 1.448 Å, rel. 12, (4 0 0)
2θ 73.1, d = 1.295 Å, rel. 23, (4 3 2)


Copy entry 1 word for word.
# Sm2Pa2Se7
Calculated powder X-ray diffraction pattern, copper Kα. Input: DFT lattice parameters and positions (GGA-PBE).
Lines closer than 0.1° are merged.

Crystal structure
```
data_Sm2Pa2Se7
_symmetry_space_group_name_H-M 'I m m 2'
_symmetry_Int_Tables_number 44
_cell_length_a 4.0572
_cell_length_b 14.8985
_cell_length_c 9.1116
_cell_angle_alpha 90.00
_cell_angle_beta 90.00
_cell_angle_gamma 90.00
loop_
_symmetry_equiv_pos_as_xyz
'x,y,z'
'-x,-y,z'
'-x,y,z'
'x,-y,z'
'x+1/2,y+1/2,z+1/2'
'-x+1/2,-y+1/2,z+1/2'
'-x+1/2,y+1/2,z+1/2'
'x+1/2,-y+1/2,z+1/2'
loop_
_atom_site_label
_atom_site_type_symbol
_atom_site_fract_x
_atom_site_fract_y
_atom_site_fract_z
Sm1 Sm 0.0000 0.0000 0.0000
Sm2 Sm 0.0000 0.5000 0.0435
Pa1 Pa 0.0000 0.2606 0.8119
Se1 Se 0.0000 0.1439 0.4980
Se2 Se 0.0000 0.1841 0.1107
Se3 Se 0.0000 0.3867 0.3229
Se4 Se 0.0000 0.5000 0.7301
```

Peak list (10 most intense, 2θ = 10–80°, by angle)
2θ 22.9, d = 3.887 Å, rel. 50, (0 2 2)
2θ 24.0, d = 3.706 Å, rel. 26, (1 0 1)
2θ 26.9, d = 3.318 Å, rel. 26, (1 2 1)
2θ 30.1, d = 2.971 Å, rel. 23, (1 1 2)
2θ 34.1, d = 2.627 Å, rel. 100, (1 4 1)
2θ 34.7, d = 2.588 Å, rel. 31, (1 3 2)
2θ 39.0, d = 2.311 Å, rel. 60, (1 2 3)
2θ 41.4, d = 2.180 Å, rel. 39, (0 6 2)
2θ 44.7, d = 2.029 Å, rel. 26, (2 0 0)
2θ 62.5, d = 1.485 Å, rel. 23, (2 6 2)